This entry pairs a crystal structure of TiI2 with its simulated powder X-ray diffraction pattern. Radiation: Cu Kα X-rays. Structure: a structure optimized by DFT (GGA-PBE).

```
3
Lattice="3.8604 0.0000 0.0000 -1.9302 3.3432 0.0000 0.0000 0.0000 7.6170" Properties=species:S:1:pos:R:3 pbc="T T T"
Ti 0.0000 0.0000 0.0000
I 0.0000 2.2288 1.7633
I 1.9302 1.1144 5.8538
```

The 6 most intense peaks (2θ = 15–90°), in order of rising 2θ:
2theta  d/Å  I_rel  h k l
23.36  3.809  23  0 0 2
29.17  3.061  100  0 1 1
35.74  2.513  38  0 1 2
44.82  2.022  32  1 0 3
47.08  1.930  24  1 1 0
56.35  1.633  15  2 0 1